# 1
Structure and theoretical XRD peak list of AlNi3 (the GGA-PBE geometry in the Materials Project; Cu Kα, 1.54184 Å).
Intensities are scaled so that the largest is 100.

Peak list (8 most intense, 2θ from 10° to 90°, most intense first)
| 2θ/deg | I/Imax |
| --- | --- |
| 47.1 | 100 |
| 44.6 | 26 |
| 41.2 | 25 |
| 84.1 | 17 |
| 75.1 | 15 |
| 62.4 | 14 |
| 30.0 | 10 |
| 20.3 | 6 |

Crystal structure
```
AlNi3
1.0
5.059 0.000 0.000
-2.530 4.382 0.000
0.000 0.000 4.060
Al Ni
2 6
direct
0.333 0.667 0.250
0.667 0.333 0.750
0.165 0.330 0.750
0.165 0.835 0.750
0.330 0.165 0.250
0.670 0.835 0.750
0.835 0.165 0.250
0.835 0.670 0.250
```

***

# 2
Structure and theoretical XRD peak list of Al3Ni (the GGA-PBE geometry in the Materials Project; Cu Kα, 1.54184 Å).
Intensities are scaled so that the largest is 100.

Peak list (8 most intense, 2θ from 10° to 90°, most intense first)
| 2θ/deg | I/Imax |
| --- | --- |
| 26.0 | 100 |
| 44.0 | 97 |
| 47.4 | 95 |
| 45.6 | 91 |
| 41.9 | 82 |
| 46.5 | 81 |
| 22.9 | 69 |
| 41.5 | 66 |

Crystal structure
```
Al3Ni
1.0
6.557 0.000 0.000
0.000 7.294 0.000
0.000 0.000 4.807
Al Ni
12 4
direct
0.009 0.250 0.085
0.171 0.055 0.639
0.171 0.445 0.639
0.329 0.555 0.139
0.329 0.945 0.139
0.491 0.750 0.585
0.509 0.250 0.415
0.671 0.055 0.861
0.671 0.445 0.861
0.829 0.555 0.361
0.829 0.945 0.361
0.991 0.750 0.915
0.129 0.750 0.444
0.371 0.250 0.944
0.629 0.750 0.056
0.871 0.250 0.556
```

***

# 3
Structure and theoretical XRD peak list of AlNi (the GGA-PBE geometry in the Materials Project; Cu Kα, 1.54184 Å).
Intensities are scaled so that the largest is 100.

Peak list (6 most intense, 2θ from 10° to 90°, most intense first)
| 2θ/deg | I/Imax |
| --- | --- |
| 44.4 | 100 |
| 81.7 | 30 |
| 31.0 | 24 |
| 64.5 | 15 |
| 73.3 | 6 |
| 55.1 | 6 |

Crystal structure
```
AlNi
1.0
2.888 0.000 0.000
0.000 2.888 0.000
0.000 0.000 2.888
Al Ni
1 1
direct
0.000 0.000 0.000
0.500 0.500 0.500
```

***

# 4
Structure and theoretical XRD peak list of AlNi3 (the GGA-PBE geometry in the Materials Project; Cu Kα, 1.54184 Å).
Intensities are scaled so that the largest is 100.

Peak list (8 most intense, 2θ from 10° to 90°, most intense first)
| 2θ/deg | I/Imax |
| --- | --- |
| 44.0 | 100 |
| 51.3 | 47 |
| 75.5 | 27 |
| 25.0 | 10 |
| 35.7 | 8 |
| 57.9 | 4 |
| 64.0 | 3 |
| 81.0 | 1 |

Crystal structure
```
AlNi3
1.0
3.561 0.000 0.000
0.000 3.561 0.000
0.000 0.000 3.561
Al Ni
1 3
direct
0.000 0.000 0.000
0.000 0.500 0.500
0.500 0.000 0.500
0.500 0.500 0.000
```

***

# 5
Structure and theoretical XRD peak list of Al4Ni3 (the GGA-PBE geometry in the Materials Project; Cu Kα, 1.54184 Å).
Intensities are scaled so that the largest is 100.

Peak list (8 most intense, 2θ from 10° to 90°, most intense first)
| 2θ/deg | I/Imax |
| --- | --- |
| 45.0 | 100 |
| 83.0 | 29 |
| 19.1 | 26 |
| 65.5 | 15 |
| 29.3 | 14 |
| 43.5 | 13 |
| 31.4 | 12 |
| 49.3 | 8 |

Crystal structure
```
Al4Ni3
1.0
-5.700 5.700 5.700
5.700 -5.700 5.700
5.700 5.700 -5.700
Al Ni
32 24
direct
0.000 0.000 0.000
0.000 0.000 0.500
0.000 0.500 0.000
0.000 0.500 0.500
0.009 0.250 0.259
0.009 0.259 0.750
0.241 0.250 0.491
0.241 0.491 0.750
0.250 0.259 0.009
0.250 0.491 0.241
0.250 0.759 0.509
0.250 0.991 0.741
0.259 0.009 0.250
0.259 0.750 0.009
0.491 0.241 0.250
0.491 0.750 0.241
0.500 0.000 0.000
0.500 0.000 0.500
0.500 0.500 0.000
0.500 0.500 0.500
0.509 0.250 0.759
0.509 0.759 0.750
0.741 0.250 0.991
0.741 0.991 0.750
0.750 0.009 0.259
0.750 0.241 0.491
0.750 0.509 0.759
0.750 0.741 0.991
0.759 0.509 0.250
0.759 0.750 0.509
0.991 0.741 0.250
0.991 0.750 0.741
0.006 0.013 0.756
0.006 0.494 0.250
0.013 0.756 0.006
0.244 0.750 0.256
0.244 0.994 0.987
0.250 0.006 0.494
0.250 0.744 0.756
0.256 0.244 0.750
0.256 0.513 0.506
0.487 0.494 0.744
0.494 0.250 0.006
0.494 0.744 0.487
0.506 0.256 0.513
0.506 0.750 0.994
0.513 0.506 0.256
0.744 0.487 0.494
0.744 0.756 0.250
0.750 0.256 0.244
0.750 0.994 0.506
0.756 0.006 0.013
0.756 0.250 0.744
0.987 0.244 0.994
0.994 0.506 0.750
0.994 0.987 0.244
```

***

# 6
Structure and theoretical XRD peak list of Al4Ni15 (the GGA-PBE geometry in the Materials Project; Cu Kα, 1.54184 Å).
Intensities are scaled so that the largest is 100.

Peak list (8 most intense, 2θ from 10° to 90°, most intense first)
| 2θ/deg | I/Imax |
| --- | --- |
| 44.4 | 100 |
| 51.1 | 33 |
| 76.7 | 16 |
| 53.0 | 13 |
| 24.9 | 10 |
| 75.2 | 10 |
| 36.1 | 8 |
| 25.8 | 4 |

Crystal structure
```
Al4Ni15
1.0
3.575 0.000 0.000
0.000 3.575 0.000
0.000 0.000 17.292
Al Ni
4 15
direct
0.000 0.000 0.100
0.000 0.000 0.306
0.000 0.000 0.694
0.000 0.000 0.900
0.000 0.500 0.000
0.000 0.500 0.203
0.000 0.500 0.410
0.000 0.500 0.590
0.000 0.500 0.797
0.500 0.000 0.000
0.500 0.000 0.203
0.500 0.000 0.410
0.500 0.000 0.590
0.500 0.000 0.797
0.500 0.500 0.101
0.500 0.500 0.306
0.500 0.500 0.500
0.500 0.500 0.694
0.500 0.500 0.899
```